Structure and simulated powder diffractogram of Na4VO4 (a crystal structure in the Materials Project, relaxed with PBE+U; Cu Kα, 1.54184 Å).
Neutral-atom scattering factors, no anomalous dispersion.

Peak list (10 most intense, 2θ = 15–90°, low angle first)
17.40 deg, d 5.096, I 576, (1 0 1)
19.12 deg, d 4.643, I 335, (0 1 1)
22.86 deg, d 3.891, I 350, (1 0 -1)
33.12 deg, d 2.705, I 1000, (2 0 1)
33.47 deg, d 2.677, I 572, (1 1 -2)
37.39 deg, d 2.405, I 916, (2 2 1)
37.89 deg, d 2.375, I 902, (-1 1 2)
39.82 deg, d 2.264, I 866, (1 -1 3)
54.93 deg, d 1.671, I 369, (3 1 -1)
56.26 deg, d 1.635, I 719, (2 -2 1)

Cell and atoms:
```
data_Na4VO4
_cell_length_a 5.8096
_cell_length_b 5.8321
_cell_length_c 8.7084
_cell_angle_alpha 80.24
_cell_angle_beta 70.73
_cell_angle_gamma 68.47
_space_group_name_H-M_alt 'P -1'
_space_group_IT_number 2
loop_
_space_group_symop_operation_xyz
'x,y,z'
'-x,-y,-z'
loop_
_atom_site_label
_atom_site_type_symbol
_atom_site_fract_x
_atom_site_fract_y
_atom_site_fract_z
Na1 Na 0.0213 0.2655 0.4335
Na2 Na 0.0998 0.7424 0.1803
Na3 Na 0.2607 0.2474 0.0168
Na4 Na 0.4483 0.2381 0.6032
V1 V 0.3445 0.7177 0.7577
O1 O 0.1386 0.5240 0.8004
O2 O 0.2019 0.9728 0.6222
O3 O 0.3349 0.4799 0.3564
O4 O 0.3501 0.8583 0.9259
```